Starting from a cell relaxed with PBE+U, the X-ray powder pattern of Cs2HoWO6 was computed for Cu Ka.
Intensities are scaled so that the largest is 100.

Atomic structure:
```
Cs2HoWO6
1.0
6.8335 0.0000 0.0000
-3.4167 5.9180 0.0000
0.0000 0.0000 5.8676
Cs Ho W O
2 1 1 6
Direct
0.3333 0.6667 0.3699 Cs
0.6667 0.3333 0.6301 Cs
0.0000 0.0000 0.0000 Ho
0.0000 0.0000 0.5000 W
0.1290 0.2580 0.7093 O
0.1290 0.8710 0.7093 O
0.2580 0.1290 0.2907 O
0.7420 0.8710 0.7093 O
0.8710 0.1290 0.2907 O
0.8710 0.7420 0.2907 O
```

Top 10 peaks for 2θ = 10–90°, by intensity:
| 2θ/deg | I/Imax | index |
| --- | --- | --- |
| 26.08 | 100 | 1 1 0 |
| 14.97 | 73 | 1 0 0 |
| 34.11 | 42 | 1 0 2 |
| 51.37 | 33 | 2 1 2 |
| 43.44 | 31 | 0 2 2 |
| 21.32 | 25 | 0 1 1 |
| 40.53 | 21 | 1 1 2 |
| 30.25 | 21 | 1 1 1 |
| 46.01 | 20 | 3 0 0 |
| 33.93 | 18 | 2 0 1 |